Calculated PXRD pattern of V4Cr3Ir for Cu Kα X-rays, from the GGA-PBE geometry in Alexandria.
Peak positions follow from Bragg's law for the DFT cell and can differ from measured ones.

Cell and atoms:
abc: 4.1636 4.1636 5.8994
angles: 90.00 90.00 90.00
Space group P4/mmm (No. 123)
One atom of each set of equivalent atoms:
1 V 0.0000 0.5000 0.2416 (multiplicity 4)
2 Cr 0.0000 0.0000 0.0000 (multiplicity 1)
3 Cr 0.0000 0.0000 0.5000 (multiplicity 1)
4 Cr 0.5000 0.5000 0.0000 (multiplicity 1)
5 Ir 0.5000 0.5000 0.5000 (multiplicity 1)

The 8 most intense peaks (2θ from 5° to 70°), low angle first:
| two_theta | I_rel | hkl |
| --- | --- | --- |
| 15.0 | 11 | 0 0 1 |
| 21.3 | 13 | 1 0 0 |
| 26.2 | 15 | 1 0 1 |
| 30.3 | 10 | 0 0 2 |
| 34.0 | 9 | 1 1 1 |
| 43.4 | 100 | 2 0 0 |
| 51.4 | 8 | 2 1 1 |
| 63.2 | 10 | 2 2 0 |

Calculated PXRD pattern of TmMn2SiC for Cu Kα X-rays, from the GGA-PBE geometry in Alexandria.
Peak positions follow from Bragg's law for the DFT cell and can differ from measured ones.

Cell and atoms:
abc: 3.6601 10.5305 6.9596
angles: 90.00 90.00 90.00
Space group Cmcm (No. 63)
One atom of each set of equivalent atoms:
1 Tm 0.0000 0.0427 0.2500 (multiplicity 4)
2 Mn 0.0000 0.3317 0.0612 (multiplicity 8)
3 Si 0.0000 0.2364 0.7500 (multiplicity 4)
4 C 0.0000 0.5000 0.0000 (multiplicity 4)

The 8 most intense peaks (2θ from 5° to 70°), low angle first:
| two_theta | I_rel | hkl |
| --- | --- | --- |
| 25.8 | 25 | 1 1 0 |
| 30.8 | 37 | 0 2 2 |
| 35.4 | 53 | 1 3 0 |
| 36.5 | 42 | 0 4 1 |
| 36.6 | 100 | 1 1 2 |
| 37.8 | 43 | 1 3 1 |
| 49.8 | 22 | 2 0 0 |
| 65.0 | 24 | 1 5 3 |

Q: Which formula does entry 2 have?
A: TmMn2SiC

Repeat the second record exactly.
Calculated PXRD pattern of TmMn2SiC for Cu Kα X-rays, from the GGA-PBE geometry in Alexandria.
Peak positions follow from Bragg's law for the DFT cell and can differ from measured ones.

Cell and atoms:
abc: 3.6601 10.5305 6.9596
angles: 90.00 90.00 90.00
Space group Cmcm (No. 63)
One atom of each set of equivalent atoms:
1 Tm 0.0000 0.0427 0.2500 (multiplicity 4)
2 Mn 0.0000 0.3317 0.0612 (multiplicity 8)
3 Si 0.0000 0.2364 0.7500 (multiplicity 4)
4 C 0.0000 0.5000 0.0000 (multiplicity 4)

The 8 most intense peaks (2θ from 5° to 70°), low angle first:
| two_theta | I_rel | hkl |
| --- | --- | --- |
| 25.8 | 25 | 1 1 0 |
| 30.8 | 37 | 0 2 2 |
| 35.4 | 53 | 1 3 0 |
| 36.5 | 42 | 0 4 1 |
| 36.6 | 100 | 1 1 2 |
| 37.8 | 43 | 1 3 1 |
| 49.8 | 22 | 2 0 0 |
| 65.0 | 24 | 1 5 3 |